Record 1
Li6Ti2O7: calculated powder diffraction line list (Cu Kα (λ = 1.5418 Å)), based on a DFT-relaxed cell (PBE, the Materials Project).

The 12 most intense peaks (2θ from 10° to 90°), sorted by position:
two_theta	I/Imax	hkl
17.9	100	1 1 0
21.4	54	2 0 -1
23.2	23	1 1 -1
28.3	43	1 1 1
30.6	10	0 2 0
43.5	36	4 0 -2
44.2	70	2 2 1
49.1	10	0 2 2
50.1	10	4 2 0
52.9	16	1 3 1
62.9	19	2 2 -3
64.7	17	6 2 -1

Structural model:
```
data_Li6Ti2O7
_chemical_formula_sum 'Li12 Ti4 O14'
_space_group_name_H-M_alt 'C 1 2 1'
_space_group_IT_number 5
_space_group_name_Hall 'C 2y'
_cell_length_a 9.944
_cell_length_b 5.850
_cell_length_c 5.132
_cell_angle_alpha 90.00
_cell_angle_beta 110.83
_cell_angle_gamma 90.00
loop_
_atom_site_label
_atom_site_fract_x
_atom_site_fract_y
_atom_site_fract_z
Li1 0.131 0.000 0.186
Li2 0.135 0.273 0.770
Li3 0.137 0.720 0.775
Ti1 0.136 0.498 0.261
O1 0.000 0.270 0.000
O2 0.000 0.501 0.500
O3 0.000 0.725 0.000
O4 0.247 0.995 0.949
O5 0.248 0.240 0.498
```


Record 2
Li2TiO3: calculated powder diffraction line list (Cu Kα (λ = 1.5418 Å)), based on a DFT-relaxed cell (PBE, the Materials Project).

The 12 most intense peaks (2θ from 10° to 90°), sorted by position:
two_theta	I/Imax	hkl
20.5	15	0 2 0
21.0	100	1 1 0
23.2	29	1 1 -1
28.0	47	0 2 1
42.3	44	2 0 -2
44.4	79	1 3 1
56.8	9	3 1 -2
62.3	22	3 3 -1
63.7	21	1 3 -3
64.5	10	0 6 0
64.8	10	2 0 2
80.2	12	2 6 -2

Structural model:
```
data_Li2TiO3
_chemical_formula_sum 'Li8 Ti4 O12'
_space_group_name_H-M_alt 'C 1 2/c 1'
_space_group_IT_number 15
_space_group_name_Hall '-C 2yc'
_cell_length_a 5.219
_cell_length_b 8.669
_cell_length_c 5.087
_cell_angle_alpha 90.00
_cell_angle_beta 112.09
_cell_angle_gamma 90.00
loop_
_atom_site_label
_atom_site_fract_x
_atom_site_fract_y
_atom_site_fract_z
Li1 0.000 0.081 0.250
Li2 0.000 0.245 0.750
Ti1 0.000 0.411 0.250
O1 0.222 0.426 0.012
O2 0.250 0.250 0.500
```


Record 3
Li3Ti4O8: calculated powder diffraction line list (Cu Kα (λ = 1.5418 Å)), based on a DFT-relaxed cell (PBE, the Materials Project).

The 12 most intense peaks (2θ from 10° to 90°), sorted by position:
two_theta	I/Imax	hkl
18.1	23	0 0 3
18.3	100	1 0 1
35.1	12	0 1 5
35.3	35	1 1 3
37.0	8	2 0 2
42.9	100	0 2 4
47.1	7	2 1 1
56.7	9	1 2 5
62.0	27	2 0 8
62.5	26	2 2 0
65.7	7	1 3 1
78.8	12	4 0 4

Structural model:
```
data_Li3Ti4O8
_chemical_formula_sum 'Li9 Ti12 O24'
_space_group_name_H-M_alt 'R -3 m'
_space_group_IT_number 166
_space_group_name_Hall '-R 3 2"'
_cell_length_a 5.9464
_cell_length_b 5.9464
_cell_length_c 14.7068
_cell_angle_alpha 90.00
_cell_angle_beta 90.00
_cell_angle_gamma 120.00
loop_
_atom_site_label
_atom_site_fract_x
_atom_site_fract_y
_atom_site_fract_z
Li1 0.0000 0.5000 0.0000
Ti1 0.0000 0.0000 0.0000
Ti2 0.0000 0.5000 0.5000
O1 0.0000 0.0000 0.2447
O2 0.0267 0.5134 0.7509
```


Record 4
LiTi4O6: calculated powder diffraction line list (Cu Kα (λ = 1.5418 Å)), based on a DFT-relaxed cell (PBE, the Materials Project).

The 12 most intense peaks (2θ from 10° to 90°), sorted by position:
two_theta	I/Imax	hkl
11.8	49	0 0 1
17.5	28	1 0 0
18.7	100	1 0 -1
32.9	45	1 0 2
34.6	31	2 0 -1
35.5	61	1 1 0
39.1	27	0 1 2
45.5	33	1 1 2
47.8	32	2 0 2
48.2	57	1 1 -3
54.5	31	1 1 3
62.2	40	3 1 -1

Structural model:
```
data_LiTi4O6
_chemical_formula_sum 'Li1 Ti4 O6'
_space_group_name_H-M_alt 'P 1 m 1'
_space_group_IT_number 6
_space_group_name_Hall 'P -2y'
_cell_length_a 5.211
_cell_length_b 2.921
_cell_length_c 7.690
_cell_angle_alpha 90.00
_cell_angle_beta 103.33
_cell_angle_gamma 90.00
loop_
_atom_site_label
_atom_site_fract_x
_atom_site_fract_y
_atom_site_fract_z
Li1 0.000 0.000 0.000
Ti1 0.148 0.000 0.385
Ti2 0.280 0.000 0.738
Ti3 0.544 0.500 0.066
Ti4 0.694 0.500 0.422
O1 0.182 0.500 0.904
O2 0.371 0.500 0.558
O3 0.461 0.000 0.247
O4 0.631 0.000 0.915
O5 0.918 0.000 0.570
O6 0.922 0.500 0.226
```


Record 5
Li4Ti11O24: calculated powder diffraction line list (Cu Kα (λ = 1.5418 Å)), based on a DFT-relaxed cell (PBE, the Materials Project).

The 12 most intense peaks (2θ from 10° to 90°), sorted by position:
two_theta	I/Imax	hkl
18.2	100	4 0 -1
35.2	26	2 2 1
35.3	9	5 1 1
42.9	55	6 2 0
46.9	4	6 2 -3
56.6	6	5 3 1
56.6	5	8 0 -5
56.8	6	10 2 -1
62.1	15	0 4 0
62.3	10	10 2 -4
62.5	5	12 0 0
65.3	7	2 2 -5

Structural model:
```
data_Li4Ti11O24
_chemical_formula_sum 'Li8 Ti22 O48'
_space_group_name_H-M_alt 'C 1 m 1'
_space_group_IT_number 8
_space_group_name_Hall 'C -2y'
_cell_length_a 19.721
_cell_length_b 5.983
_cell_length_c 8.454
_cell_angle_alpha 90.00
_cell_angle_beta 115.23
_cell_angle_gamma 90.00
loop_
_atom_site_label
_atom_site_fract_x
_atom_site_fract_y
_atom_site_fract_z
Li1 0.000 0.000 0.000
Li2 0.003 0.500 0.744
Li3 0.332 0.000 0.328
Li4 0.418 0.500 0.537
Ti1 0.081 0.000 0.700
Ti2 0.087 0.500 0.221
Ti3 0.168 0.252 0.037
Ti4 0.249 0.000 0.856
Ti5 0.256 0.500 0.373
Ti6 0.336 0.258 0.700
Ti7 0.416 0.000 0.036
Ti8 0.498 0.259 0.375
O1 0.001 0.280 0.132
O2 0.007 0.233 0.609
O3 0.074 0.000 0.461
O4 0.074 0.500 0.424
O5 0.092 0.000 0.950
O6 0.094 0.500 0.971
O7 0.166 0.282 0.267
O8 0.168 0.217 0.807
O9 0.241 0.000 0.102
O10 0.241 0.500 0.124
O11 0.261 0.000 0.648
O12 0.262 0.500 0.614
O13 0.328 0.266 0.466
O14 0.335 0.215 0.938
O15 0.406 0.500 0.777
O16 0.411 0.000 0.790
O17 0.425 0.000 0.282
O18 0.431 0.500 0.302
```


Record 6
Li7Ti11O24: calculated powder diffraction line list (Cu Kα (λ = 1.5418 Å)), based on a DFT-relaxed cell (PBE, the Materials Project).

The 12 most intense peaks (2θ from 10° to 90°), sorted by position:
two_theta	I/Imax	hkl
18.2	100	4 0 -1
35.3	44	2 2 1
36.9	4	4 0 2
42.9	61	6 2 0
46.9	6	8 0 1
56.7	16	8 0 -5
56.8	5	10 2 -1
62.2	18	2 2 4
62.3	18	12 0 0
65.4	9	6 2 3
65.5	4	11 1 1
78.5	7	8 0 4

Structural model:
```
data_Li7Ti11O24
_chemical_formula_sum 'Li14 Ti22 O48'
_space_group_name_H-M_alt 'C 1 2/m 1'
_space_group_IT_number 12
_space_group_name_Hall '-C 2y'
_cell_length_a 19.744
_cell_length_b 5.967
_cell_length_c 8.436
_cell_angle_alpha 90.00
_cell_angle_beta 115.14
_cell_angle_gamma 90.00
loop_
_atom_site_label
_atom_site_fract_x
_atom_site_fract_y
_atom_site_fract_z
Li1 0.000 0.000 0.000
Li2 0.082 0.000 0.458
Li3 0.084 0.500 0.205
Li4 0.249 0.500 0.124
Ti1 0.000 0.500 0.500
Ti2 0.081 0.244 0.838
Ti3 0.162 0.000 0.166
Ti4 0.167 0.500 0.668
Ti5 0.250 0.250 0.500
O1 0.008 0.500 0.747
O2 0.011 0.000 0.762
O3 0.083 0.277 0.596
O4 0.088 0.233 0.071
O5 0.158 0.000 0.920
O6 0.158 0.500 0.893
O7 0.174 0.000 0.412
O8 0.175 0.500 0.437
O9 0.250 0.223 0.263
```


Record 7
Li2Ti3O6: calculated powder diffraction line list (Cu Kα (λ = 1.5418 Å)), based on a DFT-relaxed cell (PBE, the Materials Project).

The 12 most intense peaks (2θ from 10° to 90°), sorted by position:
two_theta	I/Imax	hkl
17.7	100	0 0 1
35.7	34	2 0 -1
42.9	73	2 0 -2
46.8	7	1 3 -2
56.0	9	1 3 2
56.2	5	2 0 -3
61.2	7	2 0 2
61.5	13	1 3 -3
63.2	19	3 3 -1
66.1	4	3 3 0
66.3	8	3 3 -2
79.5	7	2 6 -2

Structural model:
```
data_Li2Ti3O6
_chemical_formula_sum 'Li4 Ti6 O12'
_space_group_name_H-M_alt 'C 1 2/m 1'
_space_group_IT_number 12
_space_group_name_Hall '-C 2y'
_cell_length_a 5.102
_cell_length_b 8.821
_cell_length_c 5.275
_cell_angle_alpha 90.00
_cell_angle_beta 108.58
_cell_angle_gamma 90.00
loop_
_atom_site_label
_atom_site_fract_x
_atom_site_fract_y
_atom_site_fract_z
Li1 0.000 0.167 0.000
Ti1 0.000 0.000 0.500
Ti2 0.000 0.337 0.500
O1 0.236 0.171 0.721
O2 0.248 0.000 0.273
```


Record 8
Li3Ti4O8: calculated powder diffraction line list (Cu Kα (λ = 1.5418 Å)), based on a DFT-relaxed cell (PBE, the Materials Project).

The 12 most intense peaks (2θ from 10° to 90°), sorted by position:
two_theta	I/Imax	hkl
24.1	100	0 2 1
25.1	27	1 1 -1
25.3	34	1 1 1
29.8	18	1 2 -1
30.0	23	1 2 1
36.5	23	2 1 0
40.0	23	2 2 0
45.4	34	2 3 0
45.9	30	1 3 -2
46.2	32	1 3 2
52.7	16	1 4 -2
60.2	21	2 5 0

Structural model:
```
data_Li3Ti4O8
_chemical_formula_sum 'Li6 Ti8 O16'
_space_group_name_H-M_alt 'P 1 21 1'
_space_group_IT_number 4
_space_group_name_Hall 'P 2yb'
_cell_length_a 5.090
_cell_length_b 9.654
_cell_length_c 5.723
_cell_angle_alpha 90.00
_cell_angle_beta 90.52
_cell_angle_gamma 90.00
loop_
_atom_site_label
_atom_site_fract_x
_atom_site_fract_y
_atom_site_fract_z
Li1 0.063 0.000 0.119
Li2 0.075 0.274 0.619
Li3 0.425 0.498 0.126
Ti1 0.110 0.260 0.132
Ti2 0.114 0.009 0.622
Ti3 0.405 0.769 0.136
Ti4 0.415 0.518 0.629
O1 0.051 0.630 0.626
O2 0.062 0.647 0.125
O3 0.232 0.398 0.377
O4 0.232 0.883 0.884
O5 0.252 0.892 0.374
O6 0.258 0.386 0.880
O7 0.429 0.138 0.126
O8 0.430 0.133 0.643
```


Please write out number 5 again, unchanged.
Li4Ti11O24: calculated powder diffraction line list (Cu Kα (λ = 1.5418 Å)), based on a DFT-relaxed cell (PBE, the Materials Project).

The 12 most intense peaks (2θ from 10° to 90°), sorted by position:
two_theta	I/Imax	hkl
18.2	100	4 0 -1
35.2	26	2 2 1
35.3	9	5 1 1
42.9	55	6 2 0
46.9	4	6 2 -3
56.6	6	5 3 1
56.6	5	8 0 -5
56.8	6	10 2 -1
62.1	15	0 4 0
62.3	10	10 2 -4
62.5	5	12 0 0
65.3	7	2 2 -5

Structural model:
```
data_Li4Ti11O24
_chemical_formula_sum 'Li8 Ti22 O48'
_space_group_name_H-M_alt 'C 1 m 1'
_space_group_IT_number 8
_space_group_name_Hall 'C -2y'
_cell_length_a 19.721
_cell_length_b 5.983
_cell_length_c 8.454
_cell_angle_alpha 90.00
_cell_angle_beta 115.23
_cell_angle_gamma 90.00
loop_
_atom_site_label
_atom_site_fract_x
_atom_site_fract_y
_atom_site_fract_z
Li1 0.000 0.000 0.000
Li2 0.003 0.500 0.744
Li3 0.332 0.000 0.328
Li4 0.418 0.500 0.537
Ti1 0.081 0.000 0.700
Ti2 0.087 0.500 0.221
Ti3 0.168 0.252 0.037
Ti4 0.249 0.000 0.856
Ti5 0.256 0.500 0.373
Ti6 0.336 0.258 0.700
Ti7 0.416 0.000 0.036
Ti8 0.498 0.259 0.375
O1 0.001 0.280 0.132
O2 0.007 0.233 0.609
O3 0.074 0.000 0.461
O4 0.074 0.500 0.424
O5 0.092 0.000 0.950
O6 0.094 0.500 0.971
O7 0.166 0.282 0.267
O8 0.168 0.217 0.807
O9 0.241 0.000 0.102
O10 0.241 0.500 0.124
O11 0.261 0.000 0.648
O12 0.262 0.500 0.614
O13 0.328 0.266 0.466
O14 0.335 0.215 0.938
O15 0.406 0.500 0.777
O16 0.411 0.000 0.790
O17 0.425 0.000 0.282
O18 0.431 0.500 0.302
```


What did the seventh record say?
Li2Ti3O6: calculated powder diffraction line list (Cu Kα (λ = 1.5418 Å)), based on a DFT-relaxed cell (PBE, the Materials Project).

The 12 most intense peaks (2θ from 10° to 90°), sorted by position:
two_theta	I/Imax	hkl
17.7	100	0 0 1
35.7	34	2 0 -1
42.9	73	2 0 -2
46.8	7	1 3 -2
56.0	9	1 3 2
56.2	5	2 0 -3
61.2	7	2 0 2
61.5	13	1 3 -3
63.2	19	3 3 -1
66.1	4	3 3 0
66.3	8	3 3 -2
79.5	7	2 6 -2

Structural model:
```
data_Li2Ti3O6
_chemical_formula_sum 'Li4 Ti6 O12'
_space_group_name_H-M_alt 'C 1 2/m 1'
_space_group_IT_number 12
_space_group_name_Hall '-C 2y'
_cell_length_a 5.102
_cell_length_b 8.821
_cell_length_c 5.275
_cell_angle_alpha 90.00
_cell_angle_beta 108.58
_cell_angle_gamma 90.00
loop_
_atom_site_label
_atom_site_fract_x
_atom_site_fract_y
_atom_site_fract_z
Li1 0.000 0.167 0.000
Ti1 0.000 0.000 0.500
Ti2 0.000 0.337 0.500
O1 0.236 0.171 0.721
O2 0.248 0.000 0.273
```